Calculated X-ray powder pattern of MnCoB2 for Cu Kα (λ = 1.5418 Å), from DFT lattice parameters and positions (PBE).
No peak broadening, texture or thermal motion is included.

Atomic structure:
```
MnCoB2
1.0
2.968 0.000 0.000
0.000 4.001 0.000
0.000 0.000 5.344
Mn Co B
2 2 4
direct
0.000 0.122 0.000 Mn
0.000 0.878 0.500 Mn
0.500 0.368 0.360 Co
0.500 0.632 0.860 Co
0.000 0.378 0.643 B
0.000 0.622 0.143 B
0.500 0.142 0.716 B
0.500 0.858 0.216 B
```

Largest 6 diffraction maxima, by intensity, 10 to 90 degrees two-theta:
d (Å)	2θ (°)	I/Imax
2.177	41.48	1000
1.874	48.59	670
1.986	45.69	643
2.384	37.74	620
1.779	51.37	344
2.222	40.60	338



Calculated X-ray powder pattern of La3SnN for Cu Kα (λ = 1.5418 Å), from DFT lattice parameters and positions (PBE).
No peak broadening, texture or thermal motion is included.

Atomic structure:
```
La3SnN
1.0
5.115 0.000 0.000
0.000 5.115 0.000
0.000 0.000 5.115
La Sn N
3 1 1
direct
0.000 0.000 0.500 La
0.000 0.500 0.000 La
0.500 0.000 0.000 La
0.500 0.500 0.500 Sn
0.000 0.000 0.000 N
```

Largest 6 diffraction maxima, by intensity, 10 to 90 degrees two-theta:
d (Å)	2θ (°)	I/Imax
2.953	30.26	1000
2.558	35.09	563
1.542	59.98	438
1.808	50.46	399
1.173	82.14	182
1.144	84.76	182



Calculated X-ray powder pattern of LiAgO2 for Cu Kα (λ = 1.5418 Å), from DFT lattice parameters and positions (PBE).
No peak broadening, texture or thermal motion is included.

Atomic structure:
```
LiAgO2
1.0
3.315 0.000 0.000
-1.658 2.871 0.000
0.000 0.000 9.599
Li Ag O
2 2 4
direct
0.333 0.667 0.250 Li
0.667 0.333 0.750 Li
0.000 0.000 0.000 Ag
0.000 0.000 0.500 Ag
0.333 0.667 0.667 O
0.333 0.667 0.833 O
0.667 0.333 0.167 O
0.667 0.333 0.333 O
```

Largest 6 diffraction maxima, by intensity, 10 to 90 degrees two-theta:
d (Å)	2θ (°)	I/Imax
2.464	36.47	1000
4.800	18.49	474
2.871	31.15	435
1.841	49.50	362
1.658	55.43	197
1.375	68.19	142



Calculated X-ray powder pattern of Cs4Pr6OsI13 for Cu Kα (λ = 1.5418 Å), from DFT lattice parameters and positions (PBE).
No peak broadening, texture or thermal motion is included.

Atomic structure:
```
Cs4Pr6OsI13
1.0
7.319 -7.035 0.000
7.319 7.035 0.000
-6.264 0.000 10.890
Cs Pr Os I
4 6 1 13
direct
0.176 0.176 0.782 Cs
0.217 0.783 0.000 Cs
0.783 0.217 0.000 Cs
0.824 0.824 0.218 Cs
0.198 0.485 0.415 Pr
0.485 0.198 0.415 Pr
0.490 0.490 0.276 Pr
0.510 0.510 0.724 Pr
0.515 0.802 0.585 Pr
0.802 0.515 0.585 Pr
0.500 0.500 0.500 Os
0.135 0.135 0.280 I
0.149 0.475 0.141 I
0.168 0.500 0.670 I
0.176 0.824 0.500 I
0.475 0.149 0.141 I
0.500 0.168 0.670 I
0.500 0.500 0.000 I
0.500 0.832 0.330 I
0.525 0.851 0.859 I
0.824 0.176 0.500 I
0.832 0.500 0.330 I
0.851 0.525 0.859 I
0.865 0.865 0.720 I
```

Largest 6 diffraction maxima, by intensity, 10 to 90 degrees two-theta:
d (Å)	2θ (°)	I/Imax
3.138	28.45	1000
2.154	41.95	247
3.754	23.70	236
2.286	39.41	229
2.345	38.39	128
3.642	24.44	125



Calculated X-ray powder pattern of Ac3Zr for Cu Kα (λ = 1.5418 Å), from DFT lattice parameters and positions (PBE).
No peak broadening, texture or thermal motion is included.

Atomic structure:
```
Ac3Zr
1.0
5.320 0.000 0.000
0.000 5.320 0.000
0.000 0.000 5.320
Ac Zr
3 1
direct
0.000 0.000 0.500 Ac
0.000 0.500 0.000 Ac
0.500 0.000 0.000 Ac
0.500 0.500 0.500 Zr
```

Largest 6 diffraction maxima, by intensity, 10 to 90 degrees two-theta:
d (Å)	2θ (°)	I/Imax
3.072	29.07	1000
2.660	33.69	512
1.604	57.45	457
1.881	48.39	378
1.221	78.34	188
1.190	80.79	174



Calculated X-ray powder pattern of Rb2PH5O6 for Cu Kα (λ = 1.5418 Å), from DFT lattice parameters and positions (PBE).
No peak broadening, texture or thermal motion is included.

Atomic structure:
```
Rb2PH5O6
1.0
7.581 0.000 0.000
0.000 13.715 0.000
-4.001 0.000 6.918
Rb P H O
8 4 20 24
direct
0.236 0.084 0.260 Rb
0.236 0.416 0.760 Rb
0.253 0.736 0.757 Rb
0.253 0.764 0.257 Rb
0.747 0.236 0.743 Rb
0.747 0.264 0.243 Rb
0.764 0.584 0.240 Rb
0.764 0.916 0.740 Rb
0.230 0.146 0.738 P
0.230 0.354 0.238 P
0.770 0.646 0.762 P
0.770 0.854 0.262 P
0.163 0.587 0.957 H
0.163 0.913 0.457 H
0.185 0.525 0.390 H
0.185 0.975 0.890 H
0.254 0.236 0.989 H
0.254 0.264 0.489 H
0.333 0.529 0.136 H
0.333 0.971 0.636 H
0.366 0.583 0.568 H
0.366 0.917 0.068 H
0.634 0.083 0.932 H
0.634 0.417 0.432 H
0.667 0.029 0.364 H
0.667 0.471 0.864 H
0.746 0.736 0.511 H
0.746 0.764 0.011 H
0.815 0.025 0.110 H
0.815 0.475 0.610 H
0.837 0.087 0.543 H
0.837 0.413 0.043 H
0.070 0.080 0.749 O
0.070 0.420 0.249 O
0.128 0.220 0.571 O
0.128 0.280 0.071 O
0.216 0.585 0.471 O
0.216 0.915 0.971 O
0.309 0.591 0.062 O
0.309 0.909 0.562 O
0.346 0.207 0.939 O
0.346 0.293 0.439 O
0.400 0.088 0.729 O
0.400 0.412 0.229 O
0.600 0.588 0.771 O
0.600 0.912 0.271 O
0.654 0.707 0.561 O
0.654 0.793 0.061 O
0.691 0.091 0.438 O
0.691 0.409 0.938 O
0.784 0.085 0.029 O
0.784 0.415 0.529 O
0.872 0.720 0.929 O
0.872 0.780 0.429 O
0.930 0.580 0.751 O
0.930 0.920 0.251 O
```

Largest 6 diffraction maxima, by intensity, 10 to 90 degrees two-theta:
d (Å)	2θ (°)	I/Imax
3.008	29.70	1000
3.751	23.72	657
3.281	27.18	593
2.243	40.20	476
3.459	25.76	435
3.366	26.48	306



Calculated X-ray powder pattern of SmSbRh for Cu Kα (λ = 1.5418 Å), from DFT lattice parameters and positions (PBE).
No peak broadening, texture or thermal motion is included.

Atomic structure:
```
SmSbRh
1.0
7.349 0.000 0.000
0.000 4.628 0.000
0.000 0.000 7.883
Sm Sb Rh
4 4 4
direct
0.014 0.250 0.198 Sm
0.486 0.750 0.698 Sm
0.514 0.250 0.302 Sm
0.986 0.750 0.802 Sm
0.186 0.250 0.590 Sb
0.314 0.750 0.090 Sb
0.686 0.250 0.910 Sb
0.814 0.750 0.410 Sb
0.197 0.750 0.416 Rh
0.303 0.250 0.916 Rh
0.697 0.750 0.084 Rh
0.803 0.250 0.584 Rh
```

Largest 6 diffraction maxima, by intensity, 10 to 90 degrees two-theta:
d (Å)	2θ (°)	I/Imax
2.703	33.14	1000
2.285	39.43	577
2.778	32.22	564
2.314	38.92	445
2.688	33.34	361
2.339	38.48	311



Calculated X-ray powder pattern of Tb3Mg for Cu Kα (λ = 1.5418 Å), from DFT lattice parameters and positions (PBE).
No peak broadening, texture or thermal motion is included.

Atomic structure:
```
Tb3Mg
1.0
7.049 0.000 0.000
-3.524 6.104 0.000
0.000 0.000 5.558
Tb Mg
6 2
direct
0.171 0.342 0.250 Tb
0.171 0.829 0.250 Tb
0.342 0.171 0.750 Tb
0.658 0.829 0.250 Tb
0.829 0.171 0.750 Tb
0.829 0.658 0.750 Tb
0.333 0.667 0.750 Mg
0.667 0.333 0.250 Mg
```

Largest 6 diffraction maxima, by intensity, 10 to 90 degrees two-theta:
d (Å)	2θ (°)	I/Imax
2.675	33.50	1000
2.779	32.21	248
4.110	21.62	241
3.052	29.26	238
1.488	62.40	220
1.584	58.26	205



Calculated X-ray powder pattern of NaYF4 for Cu Kα (λ = 1.5418 Å), from DFT lattice parameters and positions (PBE).
No peak broadening, texture or thermal motion is included.

Atomic structure:
```
NaYF4
1.0
6.060 0.000 0.000
3.023 6.337 0.000
3.022 2.298 5.913
Na Y F
3 3 12
direct
0.000 0.000 0.000 Na
0.003 0.484 0.484 Na
0.669 0.434 0.217 Na
0.335 0.509 0.810 Y
0.338 0.010 0.305 Y
0.671 0.931 0.717 Y
0.091 0.746 0.538 F
0.098 0.251 0.048 F
0.311 0.390 0.187 F
0.313 0.899 0.691 F
0.386 0.290 0.622 F
0.392 0.830 0.079 F
0.588 0.641 0.439 F
0.613 0.141 0.932 F
0.691 0.558 0.810 F
0.693 0.019 0.345 F
0.932 0.715 0.957 F
0.933 0.169 0.502 F
```

Largest 6 diffraction maxima, by intensity, 10 to 90 degrees two-theta:
d (Å)	2θ (°)	I/Imax
2.956	30.23	1000
5.240	16.92	980
2.115	42.76	958
3.026	29.52	815
1.734	52.79	602
2.311	38.97	345



Calculated X-ray powder pattern of Na3SbTe3 for Cu Kα (λ = 1.5418 Å), from DFT lattice parameters and positions (PBE).
No peak broadening, texture or thermal motion is included.

Atomic structure:
```
Na3SbTe3
1.0
9.678 0.000 0.000
0.000 9.678 0.000
0.000 0.000 9.678
Na Sb Te
12 4 12
direct
0.090 0.410 0.590 Na
0.173 0.173 0.173 Na
0.183 0.817 0.317 Na
0.317 0.183 0.817 Na
0.327 0.827 0.673 Na
0.410 0.590 0.090 Na
0.590 0.090 0.410 Na
0.673 0.327 0.827 Na
0.683 0.683 0.683 Na
0.817 0.317 0.183 Na
0.827 0.673 0.327 Na
0.910 0.910 0.910 Na
0.039 0.539 0.961 Sb
0.461 0.461 0.461 Sb
0.539 0.961 0.039 Sb
0.961 0.039 0.539 Sb
0.003 0.760 0.619 Te
0.119 0.497 0.240 Te
0.240 0.119 0.497 Te
0.260 0.881 0.997 Te
0.381 0.503 0.740 Te
0.497 0.240 0.119 Te
0.503 0.740 0.381 Te
0.619 0.003 0.760 Te
0.740 0.381 0.503 Te
0.760 0.619 0.003 Te
0.881 0.997 0.260 Te
0.997 0.260 0.881 Te
```

Largest 6 diffraction maxima, by intensity, 10 to 90 degrees two-theta:
d (Å)	2θ (°)	I/Imax
3.061	29.18	1000
3.951	22.50	709
2.587	34.68	537
2.164	41.74	358
1.898	47.93	356
1.570	58.82	334